1.
The following is a computed X-ray powder pattern of SrSn2H10Br6O5. It was derived from DFT lattice parameters and positions (PBE), using copper Kα.
Neutral-atom scattering factors, no anomalous dispersion.

Largest 12 diffraction maxima, low angle first, 2θ from 15° to 90°:
Position (°2θ)  Rel. int.  hkl
18.72  56  2 2 -1
21.70  33  1 3 0
24.80  26  4 0 0
27.85  60  0 4 0
29.57  89  5 1 -1
29.86  100  1 1 -3
35.58  27  1 5 0
35.72  29  5 3 -1
35.97  35  1 3 -3
37.63  49  4 4 0
38.25  46  4 0 2
44.15  28  6 0 -4

Crystal structure
```
data_SrSn2H10Br6O5
_chemical_formula_sum 'Sr4 Sn8 H40 Br24 O20'
_symmetry_space_group_name_H-M 'C 1 2/c 1'
_symmetry_Int_Tables_number 15
_symmetry_space_group_name_Hall '-C 2yc'
_cell_length_a 15.575
_cell_length_b 12.816
_cell_length_c 9.418
_cell_angle_alpha 90.00
_cell_angle_beta 112.83
_cell_angle_gamma 90.00
loop_
_atom_site_label
_atom_site_type_symbol
_atom_site_fract_x
_atom_site_fract_y
_atom_site_fract_z
_atom_site_occupancy
Sr1 Sr 0.000 0.015 0.250 1
Sn1 Sn 0.125 0.388 0.975 1
H1 H 0.043 0.161 0.534 1
H2 H 0.055 0.262 0.278 1
H3 H 0.138 0.104 0.594 1
H4 H 0.183 0.108 0.226 1
H5 H 0.219 0.020 0.350 1
Br1 Br 0.062 0.367 0.594 1
Br2 Br 0.143 0.169 0.963 1
Br3 Br 0.190 0.369 0.295 1
O1 O 0.000 0.215 0.250 1
O2 O 0.070 0.091 0.551 1
O3 O 0.170 0.072 0.307 1
```


2.
The following is a computed X-ray powder pattern of Bi4I2O5. It was derived from DFT lattice parameters and positions (PBE), using copper Kα.
Neutral-atom scattering factors, no anomalous dispersion.

Largest 12 diffraction maxima, low angle first, 2θ from 15° to 90°:
Position (°2θ)  Rel. int.  hkl
23.48  5  0 1 3
27.94  4  3 1 -1
28.25  100  1 1 -4
30.77  17  0 2 0
30.92  20  2 0 4
36.26  8  4 0 -4
44.18  15  2 2 4
48.26  11  6 0 0
48.49  5  2 0 -8
53.18  10  1 3 -4
53.30  7  5 1 4
53.45  9  1 1 8

Crystal structure
```
data_Bi4I2O5
_chemical_formula_sum 'Bi16 I8 O20'
_symmetry_space_group_name_H-M 'P 1 21 1'
_symmetry_Int_Tables_number 4
_symmetry_space_group_name_Hall 'P 2yb'
_cell_length_a 11.497
_cell_length_b 5.812
_cell_length_c 15.198
_cell_angle_alpha 90.00
_cell_angle_beta 100.24
_cell_angle_gamma 90.00
loop_
_atom_site_label
_atom_site_type_symbol
_atom_site_fract_x
_atom_site_fract_y
_atom_site_fract_z
_atom_site_occupancy
Bi1 Bi 0.072 0.000 0.214 1
Bi2 Bi 0.090 0.973 0.959 1
Bi3 Bi 0.127 0.091 0.703 1
Bi4 Bi 0.229 0.531 0.115 1
Bi5 Bi 0.234 0.572 0.364 1
Bi6 Bi 0.273 0.590 0.853 1
Bi7 Bi 0.407 0.080 0.295 1
Bi8 Bi 0.426 0.084 0.540 1
I1 I 0.109 0.116 0.442 1
I2 I 0.277 0.592 0.616 1
I3 I 0.380 0.109 0.048 1
I4 I 0.444 0.090 0.776 1
O1 O 0.054 0.642 0.285 1
O2 O 0.079 0.290 0.087 1
O3 O 0.079 0.793 0.093 1
O4 O 0.139 0.345 0.807 1
O5 O 0.139 0.844 0.809 1
O6 O 0.189 0.628 0.967 1
O7 O 0.252 0.318 0.260 1
O8 O 0.256 0.831 0.255 1
O9 O 0.421 0.843 0.419 1
O10 O 0.424 0.325 0.420 1
```


3.
The following is a computed X-ray powder pattern of SbO2. It was derived from DFT lattice parameters and positions (PBE), using copper Kα.
Neutral-atom scattering factors, no anomalous dispersion.

Largest 12 diffraction maxima, low angle first, 2θ from 15° to 90°:
Position (°2θ)  Rel. int.  hkl
16.98  100  0 0 3
19.54  23  1 0 -2
27.01  26  0 2 -1
28.38  16  0 2 2
29.05  17  1 2 3
31.58  26  2 2 1
31.77  18  1 1 5
32.02  23  2 0 -1
34.04  24  2 2 -2
35.40  17  0 2 -4
37.98  16  2 2 4
58.67  21  4 2 0

Crystal structure
```
data_SbO2
_chemical_formula_sum 'Sb12 O24'
_symmetry_space_group_name_H-M 'P 1'
_symmetry_Int_Tables_number 1
_symmetry_space_group_name_Hall 'P 1'
_cell_length_a 6.302
_cell_length_b 7.481
_cell_length_c 15.695
_cell_angle_alpha 87.53
_cell_angle_beta 87.12
_cell_angle_gamma 65.23
loop_
_atom_site_label
_atom_site_type_symbol
_atom_site_fract_x
_atom_site_fract_y
_atom_site_fract_z
_atom_site_occupancy
Sb1 Sb 0.000 0.000 0.000 1
Sb2 Sb 0.003 0.956 0.378 1
Sb3 Sb 0.059 0.416 0.905 1
Sb4 Sb 0.202 0.103 0.215 1
Sb5 Sb 0.239 0.508 0.201 1
Sb6 Sb 0.315 0.835 0.566 1
Sb7 Sb 0.383 0.210 0.668 1
Sb8 Sb 0.547 0.416 0.905 1
Sb9 Sb 0.608 0.813 0.888 1
Sb10 Sb 0.687 0.112 0.217 1
Sb11 Sb 0.867 0.243 0.541 1
Sb12 Sb 0.934 0.650 0.544 1
O1 O 0.027 0.030 0.626 1
O2 O 0.081 0.358 0.152 1
O3 O 0.090 0.694 0.435 1
O4 O 0.110 0.356 0.583 1
O5 O 0.161 0.171 0.980 1
O6 O 0.184 0.037 0.467 1
O7 O 0.245 0.514 0.976 1
O8 O 0.281 0.877 0.298 1
O9 O 0.359 0.254 0.283 1
O10 O 0.366 0.309 0.835 1
O11 O 0.436 0.674 0.838 1
O12 O 0.518 0.982 0.158 1
O13 O 0.522 0.954 0.602 1
O14 O 0.567 0.367 0.156 1
O15 O 0.580 0.336 0.615 1
O16 O 0.674 0.175 0.982 1
O17 O 0.720 0.566 0.970 1
O18 O 0.745 0.121 0.459 1
O19 O 0.755 0.518 0.492 1
O20 O 0.803 0.892 0.302 1
O21 O 0.865 0.306 0.844 1
O22 O 0.897 0.204 0.292 1
O23 O 0.926 0.670 0.836 1
O24 O 0.995 0.015 0.142 1
```


4.
The following is a computed X-ray powder pattern of Fe3Rh3S8. It was derived from DFT lattice parameters and positions (PBE), using copper Kα.
Neutral-atom scattering factors, no anomalous dispersion.

Largest 12 diffraction maxima, low angle first, 2θ from 15° to 90°:
Position (°2θ)  Rel. int.  hkl
15.96  19  1 0 1
16.06  18  0 0 3
26.31  17  1 0 4
30.84  100  0 2 1
30.98  26  0 1 5
37.46  66  0 2 4
49.27  30  1 2 5
49.41  11  0 2 7
53.88  45  2 2 0
54.16  45  2 0 8
63.41  12  4 0 1
79.92  14  0 4 8

Crystal structure
```
data_Fe3Rh3S8
_chemical_formula_sum 'Fe9 Rh9 S24'
_symmetry_space_group_name_H-M 'R -3 m'
_symmetry_Int_Tables_number 166
_symmetry_space_group_name_Hall '-R 3 2"'
_cell_length_a 6.8066
_cell_length_b 6.8066
_cell_length_c 16.5543
_cell_angle_alpha 90.00
_cell_angle_beta 90.00
_cell_angle_gamma 120.00
loop_
_atom_site_label
_atom_site_type_symbol
_atom_site_fract_x
_atom_site_fract_y
_atom_site_fract_z
_atom_site_occupancy
Fe1 Fe 0.0000 0.0000 0.0000 1
Fe2 Fe 0.0000 0.0000 0.3751 1
Rh1 Rh 0.0000 0.5000 0.5000 1
S1 S 0.0000 0.0000 0.2486 1
S2 S 0.0133 0.5067 0.7468 1
```